For TbScCBr, a DFT-relaxed cell (PBE, Alexandria) gives the simulated powder X-ray diffraction pattern in this record (Cu Kα, 1.54184 Å).
No peak broadening, texture or thermal motion is included.

Structural model:
Lattice parameters (Å, degrees): 3.5780 3.5780 20.7259 90.00 90.00 120.00
Atoms (fractional coordinates):
Tb1 0.0000 0.0000 0.0000
Tb2 0.3333 0.6667 0.6667
Tb3 0.6667 0.3333 0.3333
Sc1 0.0000 0.0000 0.7845
Sc2 0.3333 0.6667 0.4512
Sc3 0.6667 0.3333 0.1178
C1 0.0000 0.0000 0.4006
C2 0.3333 0.6667 0.0673
C3 0.6667 0.3333 0.7340
Br1 0.0000 0.0000 0.2213
Br2 0.3333 0.6667 0.8880
Br3 0.6667 0.3333 0.5546

The 10 most intense peaks (10° ≤ 2θ ≤ 80°), in order of rising 2θ:
h k l, two_theta, intensity
0 0 3, 12.81, 45
1 0 1, 29.14, 75
1 0 4, 33.70, 94
0 1 5, 36.19, 100
0 0 9, 39.12, 27
0 1 8, 45.64, 19
1 1 0, 51.05, 42
1 0 10, 53.17, 20
2 0 5, 64.17, 18
1 1 9, 66.14, 34